This entry pairs a crystal structure of TbPr4S6 with its computed powder XRD pattern. Radiation: CuKα. Structure: the GGA-PBE geometry in Alexandria.
Neutral-atom scattering factors, no anomalous dispersion.

Most intense lines, 5 to 70 degrees two-theta, in order of falling intensity:
d 3.511, 25.4 deg, I 100; d 2.856, 31.3 deg, I 77; d 2.727, 32.8 deg, I 49; d 3.321, 26.8 deg, I 41; d 1.977, 45.9 deg, I 39; d 2.127, 42.5 deg, I 38; d 3.562, 25.0 deg, I 28; d 3.379, 26.4 deg, I 28; d 2.942, 30.4 deg, I 28; d 1.724, 53.1 deg, I 27; d 3.054, 29.2 deg, I 26; d 2.047, 44.2 deg, I 25

Atomic structure:
```
TbPr4S6
1.0
1.9783 -6.7586 0.0000
1.9783 6.7586 0.0000
0.0000 0.0000 20.5408
Tb Pr S
2 8 12
direct
0.1530 0.8470 0.7500
0.8470 0.1530 0.2500
0.0897 0.9103 0.1307
0.0897 0.9103 0.3693
0.3598 0.6402 0.0410
0.3598 0.6402 0.4590
0.6402 0.3598 0.5410
0.6402 0.3598 0.9590
0.9103 0.0897 0.6307
0.9103 0.0897 0.8693
0.0000 0.0000 0.0000
0.0000 0.0000 0.5000
0.2023 0.7977 0.2500
0.2714 0.7286 0.5909
0.2714 0.7286 0.9091
0.4441 0.5559 0.1710
0.4441 0.5559 0.3290
0.5559 0.4441 0.6710
0.5559 0.4441 0.8290
0.7286 0.2714 0.0909
0.7286 0.2714 0.4091
0.7977 0.2023 0.7500
```

---

This entry pairs a crystal structure of Tb3Pr2ThS6 with its computed powder XRD pattern. Radiation: CuKα. Structure: the GGA-PBE geometry in Alexandria.
Neutral-atom scattering factors, no anomalous dispersion.

Most intense lines, 5 to 70 degrees two-theta, in order of falling intensity:
d 2.832, 31.6 deg, I 100; d 3.255, 27.4 deg, I 62; d 2.018, 44.9 deg, I 37; d 1.987, 45.7 deg, I 24; d 3.320, 26.9 deg, I 22; d 1.707, 53.7 deg, I 14; d 1.629, 56.5 deg, I 13; d 1.991, 45.6 deg, I 12; d 1.416, 66.0 deg, I 12; d 1.724, 53.1 deg, I 11; d 1.704, 53.8 deg, I 7; d 1.698, 54.0 deg, I 7

Atomic structure:
```
Tb3Pr2ThS6
1.0
8.7756 -1.9914 0.0000
8.7756 1.9914 0.0000
-2.0318 0.0000 7.8039
Tb Pr Th S
3 2 1 6
direct
0.0000 0.0000 0.0000
0.3329 0.3329 0.6652
0.6671 0.6671 0.3348
0.3350 0.3350 0.1695
0.6650 0.6650 0.8305
0.0000 0.0000 0.5000
0.1639 0.1639 0.0928
0.1695 0.1695 0.5733
0.4954 0.4954 0.7562
0.5046 0.5046 0.2438
0.8305 0.8305 0.4267
0.8361 0.8361 0.9072
```